(1)
Diffraction record for BeBTe2I. The powder X-ray diffraction pattern is simulated, not measured: it uses DFT lattice parameters and positions (PBE) and a wavelength of 1.5418 Å.
Lines closer than 0.1° are merged.

Cell and atoms:
Lattice parameters (Å, degrees): 5.0106 5.0106 5.1840 90.00 90.00 90.00
Space group P4/mmm (No. 123)
Inequivalent atoms, fractional coordinates:
1 Be 0.0000 0.0000 0.0000
2 B 0.5000 0.5000 0.5000
3 Te 0.0000 0.5000 0.0000
4 I 0.0000 0.0000 0.5000

The 10 most intense peaks (2θ from 10° to 80°), by angle:
2theta  I_rel  index
17.7  21  1 0 0
24.7  15  1 0 1
30.6  100  1 1 1
34.6  19  0 0 2
35.8  35  2 0 0
50.7  25  2 0 2
51.6  12  2 2 0
59.5  15  1 1 3
61.2  27  3 1 1
63.6  13  2 2 2

***

(2)
Diffraction record for Be3BIr4. The powder X-ray diffraction pattern is simulated, not measured: it uses DFT lattice parameters and positions (PBE) and a wavelength of 1.5418 Å.
Lines closer than 0.1° are merged.

Cell and atoms:
Lattice parameters (Å, degrees): 3.9320 3.9320 11.1675 90.00 90.00 90.00
Space group I4/mmm (No. 139)
Inequivalent atoms, fractional coordinates:
1 Be 0.0000 0.0000 0.0000
2 Be 0.0000 0.0000 0.2468
3 B 0.0000 0.0000 0.5000
4 Ir 0.0000 0.5000 0.1221

The 9 most intense peaks (2θ from 10° to 80°), by angle:
2theta  I_rel  index
32.1  50  0 0 4
32.2  100  1 1 0
46.1  86  1 1 4
46.2  43  2 0 0
57.3  40  2 0 4
67.0  7  0 0 8
67.4  14  2 2 0
76.3  17  1 1 8
76.6  34  3 1 0

***

(3)
Diffraction record for Be2BIr3. The powder X-ray diffraction pattern is simulated, not measured: it uses DFT lattice parameters and positions (PBE) and a wavelength of 1.5418 Å.
Lines closer than 0.1° are merged.

Cell and atoms:
Lattice parameters (Å, degrees): 3.9524 11.7650 5.5700 90.00 91.98 90.00
Space group C2/m (No. 12)
Inequivalent atoms, fractional coordinates:
1 Be 0.0000 0.0000 0.0000
2 Be 0.0000 0.0000 0.5000
3 Be 0.0000 0.3324 0.0000
4 B 0.0000 0.3446 0.5000
5 Ir 0.0132 0.5000 0.2532
6 Ir 0.0264 0.1698 0.2593

The 10 most intense peaks (2θ from 10° to 80°), by angle:
2theta  I_rel  index
32.2  100  0 0 2
45.5  30  1 3 -2
46.0  14  2 0 0
46.3  14  0 6 0
46.7  27  1 3 2
56.2  7  2 0 -2
57.5  13  0 6 2
67.3  13  0 0 4
75.7  12  1 3 -4
77.4  10  1 3 4